Gd2Si2O7: computed powder XRD pattern (copper Kα), based on a crystal structure in OQMD, relaxed with PBE.

Atomic structure:
```
44
Lattice="6.5154 0.0000 0.0000 0.0000 6.6061 0.0000 -3.7158 0.0000 11.8696" Properties=species:S:1:pos:R:3 pbc="T T T"
Gd -1.1642 0.7076 4.2977
Gd -3.0221 2.5955 10.2325
Gd 1.6996 1.2104 1.8535
Gd -0.1583 2.0926 7.7883
Gd 2.9580 4.5135 4.0813
Gd 1.1001 5.3957 10.0162
Gd 5.8218 4.0106 1.6371
Gd 3.9639 5.8985 7.5719
Si -0.0831 3.7902 4.6208
Si -1.9410 6.1190 10.5556
Si 2.2740 4.4578 1.0142
Si 0.4161 5.4513 6.9490
Si 2.3836 1.1548 4.9206
Si 0.5257 2.1483 10.8554
Si 4.7407 0.4871 1.3141
Si 2.8828 2.8159 7.2489
O -1.2112 4.7789 3.9344
O -3.0691 5.1302 9.8692
O -2.5404 0.7281 11.4209
O -0.6825 2.5749 5.4861
O -0.5890 0.0760 6.5021
O 1.2689 3.2271 0.5673
O -0.5363 4.4036 7.7478
O 1.3216 5.5056 1.8130
O 0.8797 3.3195 3.3895
O -0.9782 6.5897 9.3243
O 1.1607 0.5655 4.0461
O -0.6972 2.7376 9.9809
O 0.9437 4.7218 5.5465
O -0.9142 5.1873 11.4813
O 3.7138 1.4188 0.3883
O 1.8559 1.8843 6.3231
O 3.4968 3.8685 1.8887
O 1.6390 6.0406 7.8236
O 3.7779 0.0164 2.5453
O 1.9200 3.2866 8.4802
O 1.4781 1.1005 10.0567
O 3.3359 2.2025 4.1218
O 1.5308 3.3790 11.3023
O 3.3887 6.5301 5.3675
O 3.4821 4.0312 6.3836
O 5.3400 5.8780 0.4488
O 5.8687 1.4758 2.0004
O 4.0108 1.8272 7.9352
```

Main lines, in order of falling intensity (2θ = 15–90°):
28.0°, rel. 100
27.2°, rel. 64
30.1°, rel. 62
31.3°, rel. 51
28.1°, rel. 42
30.6°, rel. 38
32.3°, rel. 38
19.6°, rel. 36
22.5°, rel. 33
47.2°, rel. 31

InNi15: computed powder XRD pattern (copper Kα), based on a crystal structure in OQMD, relaxed with PBE.

Atomic structure:
```
32
Lattice="3.5139 0.0000 0.0000 0.0000 3.5139 0.0000 0.0000 0.0000 40.4636" Properties=species:S:1:pos:R:3 pbc="T T T"
In 0.8785 0.0000 6.6809
In 2.6354 0.0000 33.7828
Ni 0.8785 0.0000 10.7143
Ni 0.8785 0.0000 14.1947
Ni 0.8785 0.0000 17.6461
Ni 0.8785 0.0000 21.0866
Ni 0.8785 0.0000 24.5515
Ni 0.8785 0.0000 27.9902
Ni 0.8785 0.0000 31.4775
Ni 0.8785 1.7570 8.9862
Ni 0.8785 1.7570 12.4734
Ni 0.8785 1.7570 15.9122
Ni 0.8785 1.7570 19.3765
Ni 0.8785 1.7570 22.8195
Ni 0.8785 1.7570 26.2655
Ni 0.8785 1.7570 29.7566
Ni 0.8785 1.7570 33.2006
Ni 2.6354 0.0000 8.9861
Ni 2.6354 0.0000 12.4734
Ni 2.6354 0.0000 15.9121
Ni 2.6354 0.0000 19.3771
Ni 2.6354 0.0000 22.8175
Ni 2.6354 0.0000 26.2689
Ni 2.6354 0.0000 29.7493
Ni 2.6354 1.7570 7.2631
Ni 2.6354 1.7570 10.7070
Ni 2.6354 1.7570 14.1981
Ni 2.6354 1.7570 17.6441
Ni 2.6354 1.7570 21.0871
Ni 2.6354 1.7570 24.5514
Ni 2.6354 1.7570 27.9902
Ni 2.6354 1.7570 31.4774
```

Main lines, in order of falling intensity (2θ = 15–90°):
45.3°, rel. 100
44.0°, rel. 82
52.0°, rel. 63
76.7°, rel. 32
52.1°, rel. 12
40.4°, rel. 9
78.7°, rel. 9
54.4°, rel. 7
42.7°, rel. 5
52.3°, rel. 4

LaEr2: computed powder XRD pattern (copper Kα), based on a crystal structure in OQMD, relaxed with PBE.

Atomic structure:
```
6
Lattice="0.0000 4.7317 4.7317 4.7317 0.0000 4.7317 4.7317 4.7317 0.0000" Properties=species:S:1:pos:R:3 pbc="T T T"
La 1.1829 1.1829 1.1829
La 8.2806 8.2806 8.2806
Er 4.7317 2.3659 2.3659
Er 2.3659 4.7317 2.3659
Er 2.3659 2.3659 4.7317
Er 4.7317 4.7317 4.7317
```

Main lines, in order of falling intensity (2θ = 15–90°):
31.4°, rel. 100
32.8°, rel. 47
50.1°, rel. 36
54.9°, rel. 33
77.5°, rel. 22
26.6°, rel. 21
65.4°, rel. 19
89.7°, rel. 13
64.6°, rel. 13
16.2°, rel. 11

Li3HfHg2: computed powder XRD pattern (copper Kα), based on a crystal structure in OQMD, relaxed with PBE.

Atomic structure:
```
6
Lattice="3.4187 0.0000 0.0000 0.0000 3.4187 0.0000 0.0000 0.0000 9.3350" Properties=species:S:1:pos:R:3 pbc="T T T"
Li 0.0000 0.0000 0.0000
Li 0.0000 0.0000 2.8182
Li 1.7094 1.7094 4.3301
Hf 1.7094 1.7094 7.5710
Hg 0.0000 0.0000 5.8492
Hg 1.7094 1.7094 1.3102
```

Main lines, in order of falling intensity (2θ = 15–90°):
39.1°, rel. 100
27.8°, rel. 87
37.2°, rel. 59
19.0°, rel. 43
68.4°, rel. 40
42.1°, rel. 24
53.6°, rel. 21
61.5°, rel. 20
32.5°, rel. 19
54.7°, rel. 19

NbNi6Mo: computed powder XRD pattern (copper Kα), based on a crystal structure in OQMD, relaxed with PBE.

Atomic structure:
```
8
Lattice="4.2456 0.0000 0.0000 0.0000 5.0605 0.0000 0.0000 0.0000 4.4995" Properties=species:S:1:pos:R:3 pbc="T T T"
Nb 0.0000 0.0000 0.0000
Ni 0.0000 1.2950 2.2090
Ni 0.0000 2.5303 4.4215
Ni 0.0000 3.7655 2.2090
Ni 2.1228 0.0000 1.5014
Ni 2.1228 1.2901 3.6512
Ni 2.1228 3.7705 3.6512
Mo 2.1228 2.5303 1.3712
```

Main lines, in order of falling intensity (2θ = 15–90°):
46.4°, rel. 100
45.6°, rel. 59
42.6°, rel. 45
40.9°, rel. 29
88.7°, rel. 21
80.7°, rel. 18
60.5°, rel. 17
73.4°, rel. 16
40.1°, rel. 10
80.1°, rel. 10

AgH12C4S5N: computed powder XRD pattern (copper Kα), based on a crystal structure in OQMD, relaxed with PBE.

Atomic structure:
```
46
Lattice="5.4315 -9.1547 0.0000 5.4315 9.1547 0.0000 -3.9028 0.0000 5.9780" Properties=species:S:1:pos:R:3 pbc="T T T"
Ag 3.4801 8.7670 2.9890
Ag 5.4315 -8.7670 0.0000
H 1.0050 4.0955 2.2760
H 0.1821 2.5569 2.7053
H 1.3774 2.5806 1.3588
H 1.7389 4.3674 4.5335
H 3.3415 4.4106 2.7137
H 0.9377 2.8165 4.9816
H 3.7107 2.8991 1.8151
H 1.4547 0.8041 3.7857
H -1.7693 -2.5569 5.6943
H 2.6328 0.8295 2.4345
H -0.5740 -2.5806 4.3478
H 2.6951 3.0511 5.3307
H 3.4061 -0.8041 0.7967
H 0.6814 -0.8295 5.4235
H 4.2854 3.0900 3.5135
H -0.9464 -4.0955 5.2650
H 3.2185 1.0456 4.1313
H 2.8891 -2.8165 1.9926
H 5.1700 -1.0456 1.1423
H 1.7593 -2.8991 4.8041
H 3.6903 -4.3674 1.5445
H 1.3901 -4.4106 5.7027
H 4.6465 -3.0511 2.3417
H 6.2368 -3.0900 0.5245
C 1.1107 3.0062 2.3341
C 1.8711 3.2836 4.6431
C 3.4859 3.3271 2.7995
C 2.3981 1.2333 3.4264
C -0.8407 -3.0062 5.3231
C 4.3495 -1.2333 0.4374
C 3.8225 -3.2836 1.6541
C 1.5345 -3.3271 5.7886
S -1.7207 1.1962 4.9891
S 0.2308 -1.1962 2.0001
S 5.2303 6.1290 1.1324
S 7.1312 2.7662 2.8165
S 7.7155 1.3970 1.3706
S 9.0899 2.2115 0.0722
S 5.7641 -1.3970 4.3596
S 3.2789 -6.1290 4.1214
S 7.1385 -2.2115 3.0612
S 5.1797 -2.7662 5.8055
N 2.2154 2.7118 3.3006
N 4.1668 -2.7118 0.3116
```

Main lines, in order of falling intensity (2θ = 15–90°):
26.3°, rel. 100
31.9°, rel. 94
24.5°, rel. 71
17.5°, rel. 70
19.5°, rel. 68
27.6°, rel. 55
35.5°, rel. 48
28.7°, rel. 47
19.5°, rel. 45
32.9°, rel. 41

BaZnAs2O7: computed powder XRD pattern (copper Kα), based on a crystal structure in OQMD, relaxed with PBE.

Atomic structure:
```
44
Lattice="5.6287 0.0000 0.0000 0.0000 8.5290 0.0000 -5.6097 0.0000 13.2957" Properties=species:S:1:pos:R:3 pbc="T T T"
Ba -1.2103 1.3145 3.7955
Ba -4.0152 2.9500 10.4434
Ba 4.0341 5.5790 2.8523
Ba 1.2293 7.2145 9.5002
Zn -0.9250 1.2459 8.1618
Zn 1.8798 3.0186 1.5139
Zn -1.8608 5.5104 11.7818
Zn 0.9440 7.2831 5.1340
As 0.9397 5.8465 0.1502
As -1.8651 6.9470 6.7980
As -1.3839 4.5280 8.6889
As 1.4209 8.2656 2.0411
As -1.4020 0.2635 11.2546
As 1.4029 4.0010 4.6068
As 1.8841 1.5820 6.4977
As -0.9207 2.6825 13.1455
O -2.0688 1.2714 6.4264
O -4.8736 2.9932 13.0743
O -3.8883 5.6183 11.9486
O -1.0835 7.1753 5.3007
O -1.6225 5.1898 7.0460
O 1.1823 7.6037 0.3981
O -3.0132 0.4866 10.8334
O -0.2083 3.7779 4.1855
O -2.4697 5.3132 9.7525
O 0.3352 7.4803 3.1047
O 0.8954 1.3517 1.9652
O -1.9095 2.9128 8.6131
O 1.7010 5.0763 1.4763
O -1.1038 7.7173 8.1242
O 1.1228 0.8118 5.1716
O -1.6821 3.4527 11.8194
O 1.9284 5.6162 4.6826
O -0.8764 7.1773 11.3305
O -0.3162 1.0487 10.1911
O 2.4887 3.2158 3.5432
O 0.2273 4.7511 9.1102
O 3.0322 8.0424 2.4623
O -1.1634 0.9253 12.8976
O 1.6415 3.3392 6.2497
O 1.1024 1.3538 7.9950
O 3.9073 2.9108 1.3471
O 4.8926 5.5359 0.2214
O 2.0877 7.2577 6.8693
```

Main lines, in order of falling intensity (2θ = 15–90°):
25.6°, rel. 100
27.7°, rel. 77
29.5°, rel. 63
31.8°, rel. 54
32.2°, rel. 50
26.2°, rel. 45
27.1°, rel. 34
23.2°, rel. 32
33.0°, rel. 31
42.1°, rel. 28

SmSnNO: computed powder XRD pattern (copper Kα), based on a crystal structure in OQMD, relaxed with PBE.

Atomic structure:
```
16
Lattice="5.8260 0.0000 0.0000 0.0000 8.3654 0.0000 0.0000 0.0000 5.6701" Properties=species:S:1:pos:R:3 pbc="T T T"
Sm 0.0684 1.0778 0.0000
Sm 2.8447 1.0778 2.8350
Sm 2.9814 7.2876 0.0000
Sm 5.7577 7.2876 2.8350
Sn 0.1904 5.2040 5.6303
Sn 2.7227 5.2040 2.7953
Sn 3.1034 3.1613 5.6303
Sn 5.6357 3.1613 2.7953
N 0.6199 5.0380 3.4465
N 2.2931 5.0380 0.6114
N 3.5330 3.3273 3.4465
N 5.2061 3.3273 0.6114
O 1.4373 8.2796 1.4022
O 1.4757 8.2796 4.2372
O 4.3504 0.0858 1.4022
O 4.3887 0.0858 4.2372
```

Main lines, in order of falling intensity (2θ = 15–90°):
30.7°, rel. 100
54.5°, rel. 25
31.6°, rel. 19
55.6°, rel. 17
44.6°, rel. 17
63.9°, rel. 11
88.8°, rel. 11
54.0°, rel. 9
43.3°, rel. 8
71.5°, rel. 8

MgCu2Bi: computed powder XRD pattern (copper Kα), based on a crystal structure in OQMD, relaxed with PBE.

Atomic structure:
```
16
Lattice="6.6354 0.0000 0.0000 0.0000 6.6354 0.0000 0.0000 0.0000 6.6354" Properties=species:S:1:pos:R:3 pbc="T T T"
Mg 0.0000 0.0000 0.0000
Mg 0.0000 0.0000 3.3177
Mg 0.0000 3.3177 0.0000
Mg 3.3177 0.0000 0.0000
Cu 1.4711 1.4711 1.4711
Cu 1.4711 1.4711 5.1642
Cu 1.4711 5.1642 1.4711
Cu 1.4711 5.1642 5.1642
Cu 5.1642 1.4711 1.4711
Cu 5.1642 1.4711 5.1642
Cu 5.1642 5.1642 1.4711
Cu 5.1642 5.1642 5.1642
Bi 0.0000 3.3177 3.3177
Bi 3.3177 0.0000 3.3177
Bi 3.3177 3.3177 0.0000
Bi 3.3177 3.3177 3.3177
```

Main lines, in order of falling intensity (2θ = 15–90°):
38.4°, rel. 100
30.1°, rel. 39
69.4°, rel. 29
23.2°, rel. 16
55.4°, rel. 16
40.8°, rel. 15
57.2°, rel. 14
26.9°, rel. 10
82.2°, rel. 9
64.3°, rel. 8

Er2S: computed powder XRD pattern (copper Kα), based on a crystal structure in OQMD, relaxed with PBE.

Atomic structure:
```
6
Lattice="6.3369 0.0000 0.0000 0.0000 6.3369 0.0000 0.0000 0.0000 3.8459" Properties=species:S:1:pos:R:3 pbc="T T T"
Er 1.3084 1.3084 0.0000
Er 1.8601 4.4768 1.9229
Er 4.4768 1.8601 1.9229
Er 5.0286 5.0286 0.0000
S 0.0000 0.0000 1.9229
S 3.1685 3.1685 0.0000
```

Main lines, in order of falling intensity (2θ = 15–90°):
30.6°, rel. 100
28.2°, rel. 41
31.6°, rel. 27
51.4°, rel. 24
49.2°, rel. 21
40.3°, rel. 19
39.5°, rel. 13
60.2°, rel. 13
55.9°, rel. 13
79.9°, rel. 11